Theoretical PXRD pattern
Compound: YTa3O9
Radiation: copper Kα
Structure: a structure optimized by DFT (GGA-PBE)
Lines closer than 0.1° are merged.

```
data_YTa3O9
_chemical_formula_sum 'Y4 Ta12 O36'
_symmetry_space_group_name_H-M 'P n m a'
_symmetry_Int_Tables_number 62
_cell_length_a 6.471
_cell_length_b 7.646
_cell_length_c 12.607
_cell_angle_alpha 90.00
_cell_angle_beta 90.00
_cell_angle_gamma 90.00
loop_
_symmetry_equiv_pos_as_xyz
'x,y,z'
'-x,-y,-z'
'-x+1/2,-y,z+1/2'
'x+1/2,y,-z+1/2'
'x+1/2,-y+1/2,-z+1/2'
'-x+1/2,y+1/2,z+1/2'
'-x,y+1/2,-z'
'x,-y+1/2,z'
loop_
_atom_site_label
_atom_site_type_symbol
_atom_site_fract_x
_atom_site_fract_y
_atom_site_fract_z
_atom_site_occupancy
Y1 Y 0.058 0.250 0.034 1
Ta1 Ta 0.000 0.000 0.500 1
Ta2 Ta 0.201 0.002 0.788 1
O1 O 0.013 0.044 0.657 1
O2 O 0.073 0.750 0.527 1
O3 O 0.108 0.038 0.169 1
O4 O 0.159 0.250 0.831 1
O5 O 0.200 0.750 0.808 1
O6 O 0.204 0.531 0.964 1
```

Peak list (8 most intense, 10 to 80 degrees two-theta, most intense first)
(0 2 0), 2θ = 23.27°, I = 100
(2 0 2), 2θ = 31.07°, I = 95
(1 2 1), 2θ = 28.02°, I = 54
(0 0 4), 2θ = 28.32°, I = 50
(1 2 3), 2θ = 34.62°, I = 48
(2 2 2), 2θ = 39.18°, I = 45
(2 4 2), 2θ = 57.91°, I = 35
(0 4 0), 2θ = 47.57°, I = 34

=====

Theoretical PXRD pattern
Compound: Ag2SnGeTe4
Radiation: copper Kα
Structure: a structure optimized by DFT (GGA-PBE)
Lines closer than 0.1° are merged.

```
data_Ag2SnGeTe4
_chemical_formula_sum 'Ag8 Sn4 Ge4 Te16'
_symmetry_space_group_name_H-M 'F m m 2'
_symmetry_Int_Tables_number 42
_symmetry_space_group_name_Hall 'F 2 -2'
_cell_length_a 8.772
_cell_length_b 10.280
_cell_length_c 11.912
_cell_angle_alpha 90.00
_cell_angle_beta 90.00
_cell_angle_gamma 90.00
loop_
_atom_site_label
_atom_site_type_symbol
_atom_site_fract_x
_atom_site_fract_y
_atom_site_fract_z
_atom_site_occupancy
Ag1 Ag 0.250 0.250 0.000 1
Sn1 Sn 0.000 0.000 0.271 1
Ge1 Ge 0.000 0.000 0.745 1
Te1 Te 0.000 0.224 0.854 1
Te2 Te 0.241 0.000 0.605 1
```

Peak list (8 most intense, 10 to 80 degrees two-theta, most intense first)
(2 0 2), 2θ = 25.22°, I = 100
(2 2 4), 2θ = 40.61°, I = 72
(0 2 2), 2θ = 22.85°, I = 64
(2 4 2), 2θ = 43.55°, I = 41
(0 4 0), 2θ = 34.91°, I = 30
(4 0 0), 2θ = 41.16°, I = 20
(0 2 6), 2θ = 49.20°, I = 20
(4 2 2), 2θ = 47.60°, I = 18

=====

Theoretical PXRD pattern
Compound: CaGe6Rh
Radiation: copper Kα
Structure: a structure optimized by DFT (GGA-PBE)
Lines closer than 0.1° are merged.

```
data_CaGe6Rh
_chemical_formula_sum 'Ca4 Ge24 Rh4'
_symmetry_space_group_name_H-M 'C m m e'
_symmetry_Int_Tables_number 67
_symmetry_space_group_name_Hall '-C 2a 2'
_cell_length_a 7.649
_cell_length_b 16.552
_cell_length_c 5.175
_cell_angle_alpha 90.00
_cell_angle_beta 90.00
_cell_angle_gamma 90.00
loop_
_atom_site_label
_atom_site_type_symbol
_atom_site_fract_x
_atom_site_fract_y
_atom_site_fract_z
_atom_site_occupancy
Ca1 Ca 0.000 0.250 0.244 1
Ge1 Ge 0.000 0.040 0.293 1
Ge2 Ge 0.180 0.134 0.756 1
Rh1 Rh 0.250 0.000 0.000 1
```

Peak list (8 most intense, 10 to 80 degrees two-theta, most intense first)
(0 2 0), 2θ = 10.69°, I = 100
(1 5 1), 2θ = 34.22°, I = 87
(2 4 2), 2θ = 47.79°, I = 62
(3 1 1), 2θ = 39.79°, I = 58
(0 0 2), 2θ = 34.67°, I = 33
(2 2 2), 2θ = 43.66°, I = 31
(3 9 1), 2θ = 65.08°, I = 28
(3 3 1), 2θ = 42.80°, I = 28

=====

Theoretical PXRD pattern
Compound: La8Pr5Tl
Radiation: copper Kα
Structure: a structure optimized by DFT (GGA-PBE)
Lines closer than 0.1° are merged.

```
data_La8Pr5Tl
_chemical_formula_sum 'La8 Pr5 Tl1'
_symmetry_space_group_name_H-M 'P 1'
_symmetry_Int_Tables_number 1
_cell_length_a 8.714
_cell_length_b 8.730
_cell_length_c 9.034
_cell_angle_alpha 116.62
_cell_angle_beta 118.23
_cell_angle_gamma 91.40
loop_
_symmetry_equiv_pos_as_xyz
'x,y,z'
loop_
_atom_site_label
_atom_site_type_symbol
_atom_site_fract_x
_atom_site_fract_y
_atom_site_fract_z
_atom_site_occupancy
La1 La 0.000 0.000 0.000 1
La2 La 0.039 0.464 0.206 1
La3 La 0.284 0.289 0.938 1
La4 La 0.370 0.795 0.191 1
La5 La 0.417 0.282 0.412 1
La6 La 0.583 0.580 0.923 1
La7 La 0.669 0.107 0.175 1
La8 La 0.913 0.540 0.782 1
Pr1 Pr 0.058 0.914 0.382 1
Pr2 Pr 0.206 0.784 0.749 1
Pr3 Pr 0.509 0.812 0.639 1
Pr4 Pr 0.731 0.621 0.393 1
Pr5 Pr 0.785 0.107 0.631 1
Tl1 Tl 0.106 0.340 0.538 1
```

Peak list (8 most intense, 10 to 80 degrees two-theta, most intense first)
(1 -1 2), 2θ = 30.27°, I = 100
(2 1 -3), 2θ = 30.61°, I = 87
(3 0 -1), 2θ = 31.52°, I = 79
(0 3 -2), 2θ = 31.67°, I = 74
(1 2 0), 2θ = 30.01°, I = 67
(-2 2 1), 2θ = 31.26°, I = 59
(-1 1 2), 2θ = 29.64°, I = 24
(3 3 -3), 2θ = 44.63°, I = 22

=====

Theoretical PXRD pattern
Compound: Na2PtO3
Radiation: copper Kα
Structure: a structure optimized by DFT (GGA-PBE)
Lines closer than 0.1° are merged.

```
data_Na2PtO3
_chemical_formula_sum 'Na4 Pt2 O6'
_symmetry_space_group_name_H-M 'P 63/m c m'
_symmetry_Int_Tables_number 193
_symmetry_space_group_name_Hall '-P 6c 2'
_cell_length_a 5.4958
_cell_length_b 5.4958
_cell_length_c 5.6544
_cell_angle_alpha 90.00
_cell_angle_beta 90.00
_cell_angle_gamma 120.00
loop_
_atom_site_label
_atom_site_type_symbol
_atom_site_fract_x
_atom_site_fract_y
_atom_site_fract_z
_atom_site_occupancy
Na1 Na 0.3333 0.6667 0.0000 1
Pt1 Pt 0.0000 0.0000 0.0000 1
O1 O 0.0000 0.2757 0.2500 1
```

Peak list (8 most intense, 10 to 80 degrees two-theta, most intense first)
(1 0 0), 2θ = 18.64°, I = 100
(1 1 2), 2θ = 46.06°, I = 41
(1 1 0), 2θ = 32.59°, I = 38
(1 0 2), 2θ = 36.98°, I = 28
(2 1 2), 2θ = 61.05°, I = 17
(2 0 2), 2θ = 50.10°, I = 16
(2 0 0), 2θ = 37.80°, I = 12
(2 1 0), 2θ = 50.75°, I = 12

=====

Theoretical PXRD pattern
Compound: Tm3S4
Radiation: copper Kα
Structure: a structure optimized by DFT (GGA-PBE)
Lines closer than 0.1° are merged.

```
data_Tm3S4
_chemical_formula_sum 'Tm6 S8'
_symmetry_space_group_name_H-M 'C m m m'
_symmetry_Int_Tables_number 65
_symmetry_space_group_name_Hall '-C 2 2'
_cell_length_a 7.742
_cell_length_b 10.732
_cell_length_c 3.862
_cell_angle_alpha 90.00
_cell_angle_beta 90.00
_cell_angle_gamma 90.00
loop_
_atom_site_label
_atom_site_type_symbol
_atom_site_fract_x
_atom_site_fract_y
_atom_site_fract_z
_atom_site_occupancy
Tm1 Tm 0.000 0.000 0.000 1
Tm2 Tm 0.250 0.250 0.500 1
S1 S 0.000 0.253 0.000 1
S2 S 0.242 0.000 0.500 1
```

Peak list (8 most intense, 10 to 80 degrees two-theta, most intense first)
(2 0 1), 2θ = 32.76°, I = 100
(2 2 0), 2θ = 28.45°, I = 95
(2 4 1), 2θ = 47.48°, I = 69
(1 1 0), 2θ = 14.11°, I = 53
(0 4 0), 2θ = 33.40°, I = 47
(0 4 2), 2θ = 58.88°, I = 36
(4 2 1), 2θ = 55.86°, I = 32
(1 1 1), 2θ = 27.11°, I = 21